Mn3Nb2O9: computed powder XRD pattern (Cu Kα), based on a crystal structure in Alexandria, relaxed with GGA+U.
Neutral-atom scattering factors, no anomalous dispersion.

Top 10 peaks for 2θ = 10–90°, by angle:
hkl, d/Å, I_rel
1 0 0, 4.567, 60
0 1 2, 3.870, 50
1 0 4, 2.848, 100
1 1 0, 2.637, 68
1 1 3, 2.317, 14
0 2 4, 1.935, 41
1 1 6, 1.786, 49
2 1 4, 1.560, 35
3 0 0, 1.522, 27
1 0 10, 1.388, 13

Structural model:
```
28
Lattice="5.273 0.000 0.000 -2.637 4.567 0.000 0.000 0.000 14.574" Properties=species:S:1:pos:R:3 pbc="T T T"
Mn 0.000 0.000 0.000
Mn 0.000 0.000 3.008
Mn 0.000 0.000 7.287
Mn 0.000 0.000 10.295
Mn 2.637 1.522 0.466
Mn 2.637 1.522 7.753
Nb 0.000 3.044 2.484
Nb 0.000 3.044 5.576
Nb 0.000 3.044 9.771
Nb 0.000 3.044 12.863
O -0.762 1.393 1.679
O -1.811 3.210 8.965
O -0.910 1.674 6.494
O -1.642 2.942 13.781
O -0.446 1.611 11.201
O -1.465 3.375 3.914
O 0.446 1.611 3.914
O -1.018 4.148 11.201
O 0.762 1.393 8.965
O -1.049 4.530 1.679
O 0.910 1.674 13.781
O -0.732 4.517 6.494
O 1.642 2.942 6.494
O 0.732 4.517 13.781
O 1.465 3.375 11.201
O 1.018 4.148 3.914
O 1.811 3.210 1.679
O 1.049 4.530 8.965
```